Entry 1:
Computed powder XRD pattern of Ce4BiPb5 for Cu Ka, from DFT lattice parameters and positions (GGA-PBE).
Neutral-atom scattering factors, no anomalous dispersion.

Crystal structure
```
data_Ce4BiPb5
_chemical_formula_sum 'Ce8 Bi2 Pb10'
_space_group_name_H-M_alt 'I m m m'
_space_group_IT_number 71
_space_group_name_Hall '-I 2 2'
_cell_length_a 4.6027
_cell_length_b 11.2191
_cell_length_c 12.3547
_cell_angle_alpha 90.00
_cell_angle_beta 90.00
_cell_angle_gamma 90.00
loop_
_atom_site_label
_atom_site_type_symbol
_atom_site_fract_x
_atom_site_fract_y
_atom_site_fract_z
Ce1 Ce 0.0000 0.0000 0.2479
Ce2 Ce 0.0000 0.2954 0.5000
Bi1 Bi 0.0000 0.0000 0.5000
Pb1 Pb 0.0000 0.0000 0.0000
Pb2 Pb 0.0000 0.3115 0.1753
```

Most intense lines, 15 to 90 degrees two-theta, by angle:
(hkl)  2theta  I_rel
1 0 3  29.1  51
1 3 0  30.8  100
0 3 3  32.3  30
1 2 3  33.3  39
1 1 4  35.9  24
2 0 0  39.1  31
1 3 4  42.8  14
2 3 3  51.6  16
1 3 6  54.7  17
2 6 0  64.2  15



Entry 2:
Computed powder XRD pattern of Al3V7Ga for Cu Ka, from DFT lattice parameters and positions (GGA-PBE).
Neutral-atom scattering factors, no anomalous dispersion.

Crystal structure
```
data_Al3V7Ga
_chemical_formula_sum 'Al12 V28 Ga4'
_space_group_name_H-M_alt 'C m c m'
_space_group_IT_number 63
_space_group_name_Hall '-C 2c 2'
_cell_length_a 2.5764
_cell_length_b 17.9290
_cell_length_c 14.1565
_cell_angle_alpha 90.00
_cell_angle_beta 90.00
_cell_angle_gamma 90.00
loop_
_atom_site_label
_atom_site_type_symbol
_atom_site_fract_x
_atom_site_fract_y
_atom_site_fract_z
Al1 Al 0.0000 0.1209 0.0110
Al2 Al 0.0000 0.2342 0.7500
V1 V 0.0000 0.2571 0.0829
V2 V 0.0000 0.3762 0.7500
V3 V 0.0000 0.3770 0.1605
V4 V 0.0000 0.4982 0.0848
Ga1 Ga 0.0000 0.0073 0.7500
```

Most intense lines, 15 to 90 degrees two-theta, by angle:
(hkl)  2theta  I_rel
0 4 0  19.8  10
0 2 5  33.2  14
0 0 6  38.1  9
0 8 0  40.2  100
0 4 6  43.3  46
1 1 4  43.8  19
0 6 5  44.1  13
1 5 2  45.2  34
2 8 0  87.3  8
2 4 6  89.4  10



Entry 3:
Computed powder XRD pattern of Sc6Cd5 for Cu Ka, from DFT lattice parameters and positions (GGA-PBE).
Neutral-atom scattering factors, no anomalous dispersion.

Crystal structure
```
data_Sc6Cd5
_chemical_formula_sum 'Sc12 Cd10'
_space_group_name_H-M_alt 'C m m m'
_space_group_IT_number 65
_space_group_name_Hall '-C 2 2'
_cell_length_a 4.8640
_cell_length_b 14.5469
_cell_length_c 7.2276
_cell_angle_alpha 90.00
_cell_angle_beta 90.00
_cell_angle_gamma 90.00
loop_
_atom_site_label
_atom_site_type_symbol
_atom_site_fract_x
_atom_site_fract_y
_atom_site_fract_z
Sc1 Sc 0.0000 0.0000 0.2349
Sc2 Sc 0.0000 0.3423 0.2414
Cd1 Cd 0.0000 0.1698 0.5000
Cd2 Cd 0.0000 0.1737 0.0000
Cd3 Cd 0.0000 0.5000 0.5000
```

Most intense lines, 15 to 90 degrees two-theta, by angle:
(hkl)  2theta  I_rel
0 0 2  24.6  9
1 3 0  25.9  15
1 3 2  36.1  100
2 0 0  37.0  24
0 6 0  37.1  22
0 0 4  50.5  9
2 6 0  53.4  15
3 3 2  66.0  15
1 9 2  66.2  14
2 6 4  76.5  9



Entry 4:
Computed powder XRD pattern of LiSm2Pt2 for Cu Ka, from DFT lattice parameters and positions (GGA-PBE).
Neutral-atom scattering factors, no anomalous dispersion.

Crystal structure
```
data_LiSm2Pt2
_chemical_formula_sum 'Li4 Sm8 Pt8'
_space_group_name_H-M_alt 'P 4/m n c'
_space_group_IT_number 128
_space_group_name_Hall '-P 4 2n'
_cell_length_a 7.7369
_cell_length_b 7.7369
_cell_length_c 7.7118
_cell_angle_alpha 90.00
_cell_angle_beta 90.00
_cell_angle_gamma 90.00
loop_
_atom_site_label
_atom_site_type_symbol
_atom_site_fract_x
_atom_site_fract_y
_atom_site_fract_z
Li1 Li 0.0000 0.0000 0.2496
Sm1 Sm 0.1639 0.3362 0.0000
Pt1 Pt 0.1366 0.6366 0.2500
```

Most intense lines, 15 to 90 degrees two-theta, by angle:
(hkl)  2theta  I_rel
1 1 0  16.2  34
2 0 0  23.0  11
2 1 2  34.8  100
3 1 0  36.7  23
4 0 0  47.0  12
0 0 4  47.1  10
3 3 0  50.0  11
3 1 4  61.2  10
5 2 2  69.9  18
2 1 6  79.6  9



Entry 5:
Computed powder XRD pattern of KAc2PaS5 for Cu Ka, from DFT lattice parameters and positions (GGA-PBE).
Neutral-atom scattering factors, no anomalous dispersion.

Crystal structure
```
data_KAc2PaS5
_chemical_formula_sum 'K2 Ac4 Pa2 S10'
_space_group_name_H-M_alt 'I m m m'
_space_group_IT_number 71
_space_group_name_Hall '-I 2 2'
_cell_length_a 5.1272
_cell_length_b 7.4558
_cell_length_c 14.4660
_cell_angle_alpha 90.00
_cell_angle_beta 90.00
_cell_angle_gamma 90.00
loop_
_atom_site_label
_atom_site_type_symbol
_atom_site_fract_x
_atom_site_fract_y
_atom_site_fract_z
K1 K 0.0000 0.0000 0.0000
Ac1 Ac 0.0000 0.5000 0.2042
Pa1 Pa 0.0000 0.0000 0.5000
S1 S 0.0000 0.2351 0.3555
S2 S 0.0000 0.5000 0.0000
```

Most intense lines, 15 to 90 degrees two-theta, by angle:
(hkl)  2theta  I_rel
0 2 0  23.9  27
1 1 2  24.4  100
1 0 3  25.4  16
0 1 5  33.2  27
0 2 4  34.6  20
2 0 0  35.0  21
1 2 3  35.1  41
1 3 2  42.3  25
2 1 5  49.0  19
2 2 4  50.0  14



Entry 6:
Computed powder XRD pattern of LiPaTc2N4 for Cu Ka, from DFT lattice parameters and positions (GGA-PBE).
Neutral-atom scattering factors, no anomalous dispersion.

Crystal structure
```
data_LiPaTc2N4
_chemical_formula_sum 'Li4 Pa4 Tc8 N16'
_space_group_name_H-M_alt 'F m m 2'
_space_group_IT_number 42
_space_group_name_Hall 'F 2 -2'
_cell_length_a 6.7430
_cell_length_b 8.5994
_cell_length_c 6.1654
_cell_angle_alpha 90.00
_cell_angle_beta 90.00
_cell_angle_gamma 90.00
loop_
_atom_site_label
_atom_site_type_symbol
_atom_site_fract_x
_atom_site_fract_y
_atom_site_fract_z
Li1 Li 0.0000 0.0000 0.0000
Pa1 Pa 0.0000 0.0000 0.4988
Tc1 Tc 0.2500 0.2500 0.2530
N1 N 0.0000 0.2407 0.9457
N2 N 0.2354 0.0000 0.2424
```

Most intense lines, 15 to 90 degrees two-theta, by angle:
(hkl)  2theta  I_rel
1 1 1  22.1  100
2 2 0  33.8  52
0 2 2  35.8  46
1 3 1  37.1  29
2 0 2  39.6  54
0 4 0  42.0  23
3 1 1  44.2  17
2 4 2  59.1  32
4 2 2  66.9  16
2 2 4  70.7  19



Entry 7:
Computed powder XRD pattern of ZrPtW4 for Cu Ka, from DFT lattice parameters and positions (GGA-PBE).
Neutral-atom scattering factors, no anomalous dispersion.

Crystal structure
```
data_ZrPtW4
_chemical_formula_sum 'Zr4 Pt4 W16'
_space_group_name_H-M_alt 'F -4 3 m'
_space_group_IT_number 216
_space_group_name_Hall 'F -4 2 3'
_cell_length_a 7.5203
_cell_length_b 7.5203
_cell_length_c 7.5203
_cell_angle_alpha 90.00
_cell_angle_beta 90.00
_cell_angle_gamma 90.00
loop_
_atom_site_label
_atom_site_type_symbol
_atom_site_fract_x
_atom_site_fract_y
_atom_site_fract_z
Zr1 Zr 0.0000 0.0000 0.0000
Pt1 Pt 0.2500 0.2500 0.2500
W1 W 0.1263 0.1263 0.6263
```

Most intense lines, 15 to 90 degrees two-theta, by angle:
(hkl)  2theta  I_rel
1 1 1  20.5  16
2 2 0  33.7  20
3 1 1  39.8  100
2 2 2  41.6  49
4 0 0  48.4  9
4 2 2  60.3  7
5 1 1  64.4  33
4 4 0  70.9  29
5 3 3  84.5  12
6 2 2  85.7  19



Entry 8:
Computed powder XRD pattern of Pm5Al2Sn4 for Cu Ka, from DFT lattice parameters and positions (GGA-PBE).
Neutral-atom scattering factors, no anomalous dispersion.

Crystal structure
```
data_Pm5Al2Sn4
_chemical_formula_sum 'Pm10 Al4 Sn8'
_space_group_name_H-M_alt 'C 1 2/m 1'
_space_group_IT_number 12
_cell_length_a 20.1659
_cell_length_b 4.4355
_cell_length_c 7.8557
_cell_angle_alpha 90.00
_cell_angle_beta 99.89
_cell_angle_gamma 90.00
loop_
_space_group_symop_operation_xyz
'x,y,z'
'-x,-y,-z'
'-x,y,-z'
'x,-y,z'
'x+1/2,y+1/2,z'
'-x+1/2,-y+1/2,-z'
'-x+1/2,y+1/2,-z'
'x+1/2,-y+1/2,z'
loop_
_atom_site_label
_atom_site_type_symbol
_atom_site_fract_x
_atom_site_fract_y
_atom_site_fract_z
Pm1 Pm 0.0000 0.0000 0.0000
Pm2 Pm 0.1508 0.5000 0.4564
Pm3 Pm 0.1596 0.5000 0.9581
Al1 Al 0.0894 0.0000 0.7073
Sn1 Sn 0.0080 0.5000 0.6979
Sn2 Sn 0.2223 0.0000 0.7199
```

Most intense lines, 15 to 90 degrees two-theta, by angle:
(hkl)  2theta  I_rel
1 1 0  20.5  38
1 1 1  23.9  51
3 1 -1  25.8  37
6 0 0  26.9  47
4 0 2  31.6  48
3 1 -2  31.9  100
6 0 -2  32.4  36
3 1 2  35.2  80
7 1 0  37.6  52
0 2 0  40.7  62



Entry 9:
Computed powder XRD pattern of TmPd3Au3 for Cu Ka, from DFT lattice parameters and positions (GGA-PBE).
Neutral-atom scattering factors, no anomalous dispersion.

Crystal structure
```
data_TmPd3Au3
_chemical_formula_sum 'Tm2 Pd6 Au6'
_space_group_name_H-M_alt 'P 1 2/m 1'
_space_group_IT_number 10
_cell_length_a 6.5502
_cell_length_b 6.0948
_cell_length_c 6.5788
_cell_angle_alpha 90.00
_cell_angle_beta 91.57
_cell_angle_gamma 90.00
loop_
_space_group_symop_operation_xyz
'x,y,z'
'-x,-y,-z'
'-x,y,-z'
'x,-y,z'
loop_
_atom_site_label
_atom_site_type_symbol
_atom_site_fract_x
_atom_site_fract_y
_atom_site_fract_z
Tm1 Tm 0.2327 0.0000 0.2329
Pd1 Pd 0.0000 0.2539 0.5000
Pd2 Pd 0.5000 0.2534 0.0000
Pd3 Pd 0.5000 0.2625 0.5000
Au1 Au 0.2194 0.5000 0.2191
Au2 Au 0.2254 0.5000 0.7748
Au3 Au 0.2453 0.0000 0.7546
```

Most intense lines, 15 to 90 degrees two-theta, by angle:
(hkl)  2theta  I_rel
0 0 2  27.1  10
2 0 0  27.2  10
0 2 0  29.3  10
2 0 -2  38.3  29
2 0 2  39.4  25
2 2 0  40.4  100
0 0 4  55.9  8
2 2 -4  70.5  8
4 2 -2  70.7  8
2 4 -2  74.1  8



Entry 10:
Computed powder XRD pattern of Rb3In2I5 for Cu Ka, from DFT lattice parameters and positions (GGA-PBE).
Neutral-atom scattering factors, no anomalous dispersion.

Crystal structure
```
data_Rb3In2I5
_chemical_formula_sum 'Rb6 In4 I10'
_space_group_name_H-M_alt 'C 1 2/m 1'
_space_group_IT_number 12
_cell_length_a 17.0803
_cell_length_b 5.1803
_cell_length_c 12.5747
_cell_angle_alpha 90.00
_cell_angle_beta 119.20
_cell_angle_gamma 90.00
loop_
_space_group_symop_operation_xyz
'x,y,z'
'-x,-y,-z'
'-x,y,-z'
'x,-y,z'
'x+1/2,y+1/2,z'
'-x+1/2,-y+1/2,-z'
'-x+1/2,y+1/2,-z'
'x+1/2,-y+1/2,z'
loop_
_atom_site_label
_atom_site_type_symbol
_atom_site_fract_x
_atom_site_fract_y
_atom_site_fract_z
Rb1 Rb 0.0000 0.0000 0.0000
Rb2 Rb 0.2039 0.0000 0.7940
In1 In 0.0968 0.5000 0.4030
I1 I 0.0000 0.0000 0.5000
I2 I 0.0977 0.5000 0.8915
I3 I 0.1951 0.0000 0.3137
```

Most intense lines, 15 to 90 degrees two-theta, by angle:
(hkl)  2theta  I_rel
2 0 2  24.4  100
0 2 0  34.7  40
1 1 -4  34.8  25
6 0 -4  34.9  12
2 2 2  42.8  15
4 0 4  50.0  13
7 1 2  56.3  13
1 1 6  56.5  12
5 3 0  62.2  9
4 2 4  62.2  7